Entry 1:
The following is a simulated powder diffractogram of DyZrAg. It was derived from a crystal structure in Alexandria, relaxed with PBE, using Cu Kα (λ = 1.5418 Å).

Peak list (10 most intense, 15° ≤ 2θ ≤ 90°, most intense first)
34.18°, rel. 100.0; 37.66°, rel. 39.0; 65.76°, rel. 28.8; 58.83°, rel. 19.1; 54.32°, rel. 13.3; 43.45°, rel. 11.9; 71.99°, rel. 10.3; 73.79°, rel. 8.7; 27.35°, rel. 6.4; 80.41°, rel. 4.2

```
data_DyZrAg
_symmetry_space_group_name_H-M 'P 1'
_symmetry_Int_Tables_number 1
_symmetry_space_group_name_Hall 'P 1'
_cell_length_a 3.3779
_cell_length_b 3.3779
_cell_length_c 12.4953
_cell_angle_alpha 90.00
_cell_angle_beta 90.00
_cell_angle_gamma 90.00
loop_
_atom_site_label
_atom_site_type_symbol
_atom_site_fract_x
_atom_site_fract_y
_atom_site_fract_z
Dy1 Dy 0.0000 0.0000 0.0000
Dy2 Dy 0.5000 0.5000 0.5000
Zr1 Zr 0.0000 0.0000 0.3189
Zr2 Zr 0.5000 0.5000 0.8189
Ag1 Ag 0.0000 0.0000 0.6719
Ag2 Ag 0.5000 0.5000 0.1719
```



Entry 2:
The following is a simulated powder diffractogram of DyZrAg. It was derived from a crystal structure in Alexandria, relaxed with PBE, using Cu Kα (λ = 1.5418 Å).

Peak list (10 most intense, 15° ≤ 2θ ≤ 90°, most intense first)
34.28°, rel. 100.0; 35.99°, rel. 85.1; 50.55°, rel. 32.9; 63.60°, rel. 32.6; 68.35°, rel. 18.3; 64.70°, rel. 14.8; 86.40°, rel. 14.2; 76.32°, rel. 9.1; 20.55°, rel. 8.1; 55.95°, rel. 5.6

```
data_DyZrAg
_symmetry_space_group_name_H-M 'P 1'
_symmetry_Int_Tables_number 1
_symmetry_space_group_name_Hall 'P 1'
_cell_length_a 4.9907
_cell_length_b 4.9907
_cell_length_c 6.5734
_cell_angle_alpha 90.00
_cell_angle_beta 90.00
_cell_angle_gamma 120.00
loop_
_atom_site_label
_atom_site_type_symbol
_atom_site_fract_x
_atom_site_fract_y
_atom_site_fract_z
Dy1 Dy 0.0000 0.0000 0.2486
Dy2 Dy 0.0000 0.0000 0.7514
Zr1 Zr 0.3333 0.6667 0.4870
Zr2 Zr 0.6667 0.3333 0.5130
Ag1 Ag 0.3333 0.6667 0.9611
Ag2 Ag 0.6667 0.3333 0.0389
```